Diffraction record for CaPb. The XRD peak list is theoretical, not measured: it uses DFT lattice parameters and positions (PBE) and Cu Kα (λ = 1.5418 Å).

Structural model:
```
CaPb
1.0
3.612 0.000 0.000
0.000 3.612 0.000
0.000 0.000 4.639
Ca Pb
1 1
direct
0.000 0.000 0.000
0.500 0.500 0.500
```

Main lines, in order of rising 2θ (2θ from 15° to 90°):
2θ 19.1, I = 34, (0 0 1)
2θ 24.6, I = 38, (1 0 0)
2θ 31.4, I = 100, (1 0 1)
2θ 35.1, I = 37, (1 1 0)
2θ 38.8, I = 14, (0 0 2)
2θ 40.3, I = 23, (1 1 1)
2θ 46.5, I = 15, (1 0 2)
2θ 50.5, I = 13, (2 0 0)
2θ 53.4, I = 23, (1 1 2)
2θ 60.7, I = 31, (2 1 1)